# 1
Simulated XRD peak list
Compound: Nd14Zn43Sn3
Radiation: Cu Kα
Structure: the GGA-PBE geometry in the Materials Project

Largest 10 diffraction maxima, low angle first, 5° ≤ 2θ ≤ 70°:
| 2θ (°) | I_rel |
| --- | --- |
| 30.98 | 68 |
| 32.28 | 52 |
| 34.35 | 46 |
| 34.74 | 100 |
| 35.64 | 27 |
| 36.32 | 37 |
| 36.79 | 48 |
| 37.53 | 25 |
| 38.18 | 31 |
| 40.33 | 100 |

Structure:
```
Nd14Zn43Sn3
1.0
15.4867 0.0000 0.0000
0.0000 4.4724 0.0000
-0.0353 0.0000 17.3234
Nd Zn Sn
14 43 3
Cartesian
0.0000 0.0000 0.0000
0.0791 2.2362 4.7556
1.2619 0.0000 9.9230
2.5792 0.0000 14.1917
3.9193 0.0000 1.0951
5.1034 2.2362 6.2743
5.2113 0.0000 11.0380
7.7074 0.0000 2.3700
7.7847 2.2362 14.9495
9.0161 0.0000 9.7719
10.3326 0.0000 5.5293
11.6708 0.0000 1.2507
12.8408 2.2362 13.4211
12.9485 0.0000 8.6771
0.1990 2.2362 15.1012
0.2900 0.0000 6.9111
0.3154 2.2362 12.4904
1.4232 2.2362 1.7815
1.4716 0.0000 3.0788
2.0577 2.2362 7.2227
2.2663 2.2362 16.6446
2.5929 0.0000 5.5161
3.1081 2.2362 3.8093
3.7148 0.0000 7.9572
3.7973 2.2362 9.1762
4.7044 2.2362 15.9070
4.8968 0.0000 4.1109
5.0282 2.2362 13.3216
5.6163 2.2362 3.0633
5.6913 0.0000 14.3054
6.3633 2.2362 0.6439
6.4391 0.0000 8.0591
6.4730 0.0000 16.7255
6.5552 2.2362 9.3087
7.2219 0.0000 5.6349
7.3041 2.2362 11.7291
7.8887 2.2362 4.6452
8.0223 0.0000 12.7817
8.0766 2.2362 7.2170
9.1254 2.2362 0.5110
9.1795 0.0000 16.6061
9.7951 2.2362 12.4741
10.3200 0.0000 14.1790
10.8419 2.2362 15.8835
11.4566 0.0000 11.7416
11.5391 2.2362 10.5261
12.5920 2.2362 3.8219
12.6170 0.0000 15.5860
12.7825 2.2362 6.3942
13.3367 2.2362 16.6369
13.4562 0.0000 5.4059
14.1204 2.2362 1.7261
14.1704 0.0000 11.6383
14.2404 0.0000 2.9804
14.2999 2.2362 10.3835
14.9586 0.0000 14.0725
15.0541 2.2362 7.9729
2.8630 2.2362 11.7239
10.0558 2.2362 3.0487
10.6127 2.2362 7.9763
```

# 2
Simulated XRD peak list
Compound: Sr3Nd
Radiation: Cu Kα
Structure: the GGA-PBE geometry in the Materials Project

Largest 10 diffraction maxima, low angle first, 5° ≤ 2θ ≤ 70°:
| 2θ (°) | I_rel |
| --- | --- |
| 18.38 | 4 |
| 25.11 | 23 |
| 27.07 | 26 |
| 28.58 | 100 |
| 37.25 | 16 |
| 44.23 | 20 |
| 48.78 | 23 |
| 52.63 | 24 |
| 53.51 | 17 |
| 67.94 | 8 |

Structure:
```
Sr3Nd
1.0
8.1914 0.0000 0.0000
-4.0957 7.0940 0.0000
0.0000 0.0000 6.5874
Sr Nd
6 2
Cartesian
0.0000 2.4380 1.6469
-1.9844 5.8750 1.6469
2.1114 1.2190 4.9406
1.9844 5.8750 1.6469
6.0801 1.2190 4.9406
4.0957 4.6560 4.9406
0.0000 4.7293 4.9406
4.0957 2.3647 1.6469
```

# 3
Simulated XRD peak list
Compound: NdTa3
Radiation: Cu Kα
Structure: the GGA-PBE geometry in the Materials Project

Largest 4 diffraction maxima, low angle first, 5° ≤ 2θ ≤ 70°:
| 2θ (°) | I_rel |
| --- | --- |
| 22.20 | 1 |
| 36.65 | 100 |
| 52.80 | 18 |
| 65.98 | 36 |

Structure:
```
NdTa3
1.0
0.0000 3.4679 3.4679
3.4679 0.0000 3.4679
3.4679 3.4679 0.0000
Nd Ta
1 3
Cartesian
0.0000 0.0000 0.0000
1.7340 1.7340 1.7340
3.4679 3.4679 3.4679
5.2019 5.2019 5.2019
```

# 4
Simulated XRD peak list
Compound: TbNd3
Radiation: Cu Kα
Structure: the GGA-PBE geometry in the Materials Project

Largest 10 diffraction maxima, low angle first, 5° ≤ 2θ ≤ 70°:
| 2θ (°) | I_rel |
| --- | --- |
| 28.14 | 23 |
| 29.74 | 27 |
| 31.91 | 100 |
| 41.40 | 16 |
| 49.80 | 19 |
| 54.17 | 22 |
| 59.09 | 23 |
| 60.38 | 16 |
| 66.70 | 4 |
| 69.22 | 4 |

Structure:
```
TbNd3
1.0
7.3238 0.0000 0.0000
-3.6619 6.3426 0.0000
0.0000 0.0000 6.0073
Tb Nd
2 6
Cartesian
0.0000 4.2284 1.5018
3.6619 2.1142 4.5055
0.0000 2.1219 4.5055
-1.8243 5.2817 4.5055
1.8376 1.0610 1.5018
1.8243 5.2817 4.5055
5.4862 1.0610 1.5018
3.6619 4.2207 1.5018
```

# 5
Simulated XRD peak list
Compound: TbNd
Radiation: Cu Kα
Structure: the GGA-PBE geometry in the Materials Project

Largest 10 diffraction maxima, low angle first, 5° ≤ 2θ ≤ 70°:
| 2θ (°) | I_rel |
| --- | --- |
| 28.35 | 23 |
| 30.09 | 26 |
| 32.19 | 100 |
| 41.82 | 16 |
| 50.20 | 19 |
| 54.78 | 22 |
| 59.65 | 23 |
| 60.89 | 16 |
| 62.56 | 3 |
| 67.34 | 4 |

Structure:
```
TbNd
1.0
3.6346 0.0000 0.0000
-1.8173 3.1476 0.0000
0.0000 0.0000 5.9394
Tb Nd
1 1
Cartesian
0.0000 0.0000 0.0000
0.0000 2.0984 2.9697
```

# 6
Simulated XRD peak list
Compound: Nd3Te4
Radiation: Cu Kα
Structure: the GGA-PBE geometry in the Materials Project

Largest 10 diffraction maxima, low angle first, 5° ≤ 2θ ≤ 70°:
| 2θ (°) | I_rel |
| --- | --- |
| 22.82 | 8 |
| 29.59 | 100 |
| 35.18 | 70 |
| 42.35 | 16 |
| 44.52 | 11 |
| 46.61 | 15 |
| 48.64 | 18 |
| 59.72 | 28 |
| 61.43 | 11 |
| 63.12 | 15 |

Structure:
```
Nd3Te4
1.0
-4.7726 4.7726 4.7726
4.7726 -4.7726 4.7726
4.7726 4.7726 -4.7726
Nd Te
6 8
Cartesian
4.7726 -2.3863 3.5795
3.5795 4.7726 -2.3863
4.7726 2.3863 1.1932
2.3863 1.1932 4.7726
1.1932 4.7726 2.3863
-2.3863 3.5795 4.7726
3.1023 1.6703 -1.6703
5.4886 -0.7160 0.7160
1.6703 -1.6703 3.1023
1.6703 1.6703 1.6703
-1.6703 3.1023 1.6703
0.7160 5.4886 -0.7160
-0.7160 0.7160 5.4886
4.0566 4.0566 4.0566
```

# 7
Simulated XRD peak list
Compound: Nd4Te7
Radiation: Cu Kα
Structure: the GGA-PBE geometry in the Materials Project

Largest 10 diffraction maxima, low angle first, 5° ≤ 2θ ≤ 70°:
| 2θ (°) | I_rel |
| --- | --- |
| 21.88 | 27 |
| 29.39 | 87 |
| 30.44 | 26 |
| 34.38 | 100 |
| 36.35 | 46 |
| 39.36 | 62 |
| 50.56 | 25 |
| 54.65 | 28 |
| 56.89 | 21 |
| 68.19 | 27 |

Structure:
```
Nd4Te7
1.0
4.5781 0.0000 0.0000
0.0000 4.5781 0.0000
0.0000 0.0000 17.6191
Nd Te
4 7
Cartesian
0.0000 0.0000 0.0000
0.0000 0.0000 8.7030
2.2890 2.2890 4.0773
2.2890 2.2890 12.8574
0.0000 0.0000 3.2658
0.0000 0.0000 11.8099
0.0000 2.2890 6.5650
0.0000 2.2890 15.1818
2.2890 0.0000 6.5650
2.2890 0.0000 15.1818
2.2890 2.2890 0.8408
```

# 8
Simulated XRD peak list
Compound: NdTe
Radiation: Cu Kα
Structure: the GGA-PBE geometry in the Materials Project

Largest 7 diffraction maxima, low angle first, 5° ≤ 2θ ≤ 70°:
| 2θ (°) | I_rel |
| --- | --- |
| 24.22 | 1 |
| 28.04 | 100 |
| 40.07 | 76 |
| 47.37 | 1 |
| 49.62 | 27 |
| 57.96 | 13 |
| 65.60 | 35 |

Structure:
```
NdTe
1.0
0.0000 3.1822 3.1822
3.1822 0.0000 3.1822
3.1822 3.1822 0.0000
Nd Te
1 1
Cartesian
0.0000 0.0000 0.0000
3.1822 3.1822 3.1822
```

# 9
Simulated XRD peak list
Compound: NdTe3
Radiation: Cu Kα
Structure: the GGA-PBE geometry in the Materials Project

Largest 10 diffraction maxima, low angle first, 5° ≤ 2θ ≤ 70°:
| 2θ (°) | I_rel |
| --- | --- |
| 6.42 | 17 |
| 25.90 | 37 |
| 28.93 | 16 |
| 30.38 | 100 |
| 33.10 | 51 |
| 36.88 | 31 |
| 41.10 | 48 |
| 49.22 | 25 |
| 59.52 | 16 |
| 68.29 | 19 |

Structure:
```
NdTe3
1.0
2.1952 -13.7612 0.0000
2.1952 13.7612 0.0000
0.0000 0.0000 4.3953
Nd Te
2 6
Cartesian
2.1952 9.0256 3.2965
2.1952 -9.0256 1.0988
2.1952 11.5995 1.0988
2.1952 5.7048 3.2965
2.1952 2.1611 1.0988
2.1952 -2.1611 3.2965
2.1952 -5.7048 1.0988
2.1952 -11.5995 3.2965
```

# 10
Simulated XRD peak list
Compound: Nd2Te5
Radiation: Cu Kα
Structure: the GGA-PBE geometry in the Materials Project

Largest 10 diffraction maxima, low angle first, 5° ≤ 2θ ≤ 70°:
| 2θ (°) | I_rel |
| --- | --- |
| 27.22 | 32 |
| 28.51 | 17 |
| 30.09 | 100 |
| 33.53 | 44 |
| 35.66 | 17 |
| 35.81 | 28 |
| 40.65 | 55 |
| 49.61 | 24 |
| 58.85 | 18 |
| 67.51 | 19 |

Structure:
```
Nd2Te5
1.0
2.2183 -22.9347 0.0000
2.2183 22.9347 0.0000
0.0000 0.0000 4.4404
Nd Te
4 10
Cartesian
2.2183 18.2776 3.3303
2.2183 8.9004 3.3303
2.2183 -8.9004 1.1101
2.2183 -18.2776 1.1101
2.2183 20.8076 1.1101
2.2183 14.9298 3.3303
2.2183 11.4666 1.1101
2.2183 5.6360 3.3303
2.2183 2.1275 1.1101
2.2183 -2.1275 3.3303
2.2183 -5.6360 1.1101
2.2183 -11.4666 3.3303
2.2183 -14.9298 1.1101
2.2183 -20.8076 3.3303
```

# 11
Simulated XRD peak list
Compound: Nd2UTe5
Radiation: Cu Kα
Structure: the GGA-PBE geometry in the Materials Project

Largest 10 diffraction maxima, low angle first, 5° ≤ 2θ ≤ 70°:
| 2θ (°) | I_rel |
| --- | --- |
| 22.45 | 34 |
| 28.60 | 55 |
| 29.90 | 29 |
| 30.32 | 69 |
| 35.03 | 100 |
| 36.31 | 73 |
| 40.82 | 33 |
| 40.96 | 33 |
| 55.31 | 27 |
| 55.82 | 42 |

Structure:
```
Nd2UTe5
1.0
4.4070 0.0000 0.0000
0.0000 4.4212 0.0000
0.0000 0.0000 26.8913
Nd U Te
4 2 10
Cartesian
0.0000 0.0000 0.0000
0.0000 0.0000 8.8912
0.0000 0.0000 17.8273
2.2035 2.2106 4.2155
2.2035 2.2106 13.1208
2.2035 2.2106 22.0500
0.0000 0.0000 3.3015
0.0000 0.0000 12.2884
0.0000 0.0000 21.1861
0.0000 2.2106 24.3858
2.2035 0.0000 6.5550
2.2035 0.0000 15.4605
2.2035 0.0000 24.3866
2.2035 2.2106 0.9020
2.2035 2.2106 9.8377
2.2035 2.2106 18.7931
```

# 12
Simulated XRD peak list
Compound: NdTh3
Radiation: Cu Kα
Structure: the GGA-PBE geometry in the Materials Project

Largest 10 diffraction maxima, low angle first, 5° ≤ 2θ ≤ 70°:
| 2θ (°) | I_rel |
| --- | --- |
| 17.45 | 2 |
| 24.78 | 2 |
| 30.47 | 100 |
| 35.33 | 51 |
| 39.66 | 1 |
| 43.63 | 1 |
| 50.82 | 37 |
| 54.15 | 1 |
| 60.42 | 45 |
| 63.41 | 13 |

Structure:
```
NdTh3
1.0
5.0816 0.0000 0.0000
0.0000 5.0816 0.0000
0.0000 0.0000 5.0816
Nd Th
1 3
Cartesian
0.0000 0.0000 0.0000
0.0000 2.5408 2.5408
2.5408 0.0000 2.5408
2.5408 2.5408 0.0000
```

# 13
Simulated XRD peak list
Compound: Nd3Tl5
Radiation: Cu Kα
Structure: the GGA-PBE geometry in the Materials Project

Largest 10 diffraction maxima, low angle first, 5° ≤ 2θ ≤ 70°:
| 2θ (°) | I_rel |
| --- | --- |
| 28.65 | 16 |
| 32.07 | 100 |
| 32.41 | 22 |
| 33.13 | 29 |
| 33.76 | 28 |
| 34.10 | 28 |
| 37.37 | 18 |
| 37.67 | 22 |
| 54.58 | 14 |
| 63.93 | 13 |

Structure:
```
Nd3Tl5
1.0
5.2591 -4.1970 0.0000
5.2591 4.1970 0.0000
0.0000 0.0000 10.6197
Nd Tl
6 10
Cartesian
5.2591 3.1177 7.9648
3.1411 0.0000 0.0000
3.1411 0.0000 5.3099
7.3770 0.0000 0.0000
7.3770 0.0000 5.3099
5.2591 -3.1177 2.6549
2.3657 1.8039 7.9648
5.2591 2.5748 0.5449
5.2591 2.5748 4.7649
2.3657 -1.8039 2.6549
5.2591 0.0311 2.6549
5.2591 -0.0311 7.9648
8.1524 1.8039 7.9648
5.2591 -2.5748 5.8548
5.2591 -2.5748 10.0748
8.1524 -1.8039 2.6549
```